Record 1
Starting from a crystal structure in Alexandria, relaxed with PBE, the X-ray powder pattern of Nd6MgPt was computed for Cu Kα.
Peak positions follow from Bragg's law for the DFT cell and can differ from measured ones.

Structural model:
abc: 6.9483 6.9528 7.9481
angles: 115.91 90.02 119.91
Space group P-1 (No. 2)
Inequivalent atoms, fractional coordinates:
Nd 0.0323 0.3371 0.2655 (multiplicity 2)
Nd 0.1948 0.2669 0.7341 (multiplicity 2)
Nd 0.4270 0.9603 0.2658 (multiplicity 2)
Mg 0.5000 0.5000 0.5000 (multiplicity 1)
Pt 0.0000 0.5000 0.0000 (multiplicity 1)

Principal peaks in the range 2θ from 10° to 80°, in order of falling intensity:
d/Å, I_rel, h k l
3.102, 100, -2 1 1
2.442, 42, 1 1 -3
5.780, 38, 1 0 0
1.911, 21, 2 -1 3
2.007, 20, 3 -3 1
3.432, 18, 0 0 2

Record 2
Starting from a crystal structure in Alexandria, relaxed with PBE, the X-ray powder pattern of LaY5Ho12 was computed for Cu Kα.
Peak positions follow from Bragg's law for the DFT cell and can differ from measured ones.

Structural model:
abc: 15.0551 15.0801 5.0220
angles: 90.00 90.00 90.00
Space group Cmmm (No. 65)
Inequivalent atoms, fractional coordinates:
La 0.0000 0.0000 0.0000 (multiplicity 2)
Y 0.0000 0.1686 0.5000 (multiplicity 4)
Y 0.0000 0.3336 0.0000 (multiplicity 4)
Y 0.0000 0.5000 0.5000 (multiplicity 2)
Ho 0.1673 0.3339 0.5000 (multiplicity 8)
Ho 0.1676 0.5000 0.0000 (multiplicity 4)
Ho 0.1695 0.0000 0.5000 (multiplicity 4)
Ho 0.1689 0.1678 0.0000 (multiplicity 8)

Principal peaks in the range 2θ from 10° to 80°, in order of falling intensity:
d/Å, I_rel, h k l
2.900, 100, 3 3 1
2.511, 50, 0 6 0
1.514, 42, 3 9 1
1.776, 36, 0 6 2
1.450, 12, 6 6 2
7.528, 6, 2 0 0

Record 3
Starting from a crystal structure in Alexandria, relaxed with PBE, the X-ray powder pattern of PrEr2Pb was computed for Cu Kα.
Peak positions follow from Bragg's law for the DFT cell and can differ from measured ones.

Structural model:
abc: 4.6945 4.7751 11.5567
angles: 90.00 101.63 90.00
Space group P2_1/m (No. 11)
Inequivalent atoms, fractional coordinates:
Pr 0.1901 0.2500 0.3834 (multiplicity 2)
Er 0.0549 0.7500 0.1102 (multiplicity 2)
Er 0.4386 0.7500 0.8765 (multiplicity 2)
Pb 0.3397 0.2500 0.6756 (multiplicity 2)

Principal peaks in the range 2θ from 10° to 80°, in order of falling intensity:
d/Å, I_rel, h k l
2.692, 100, 1 1 2
3.060, 56, 1 1 -2
2.388, 28, 0 2 0
2.347, 26, 2 0 -1
2.830, 26, 0 0 4
3.312, 21, 1 1 -1

Record 4
Starting from a crystal structure in Alexandria, relaxed with PBE, the X-ray powder pattern of In2Tc2Mo was computed for Cu Kα.
Peak positions follow from Bragg's law for the DFT cell and can differ from measured ones.

Structural model:
abc: 3.4964 3.4964 16.0245
angles: 90.00 90.00 90.00
Space group I4/mmm (No. 139)
Inequivalent atoms, fractional coordinates:
In 0.0000 0.0000 0.1027 (multiplicity 4)
Tc 0.0000 0.5000 0.2500 (multiplicity 4)
Mo 0.0000 0.0000 0.5000 (multiplicity 2)

Principal peaks in the range 2θ from 10° to 80°, in order of falling intensity:
d/Å, I_rel, h k l
2.362, 100, 1 1 2
2.104, 27, 1 1 4
2.925, 25, 1 0 3
1.748, 23, 2 0 0
1.345, 19, 1 1 10
1.405, 17, 2 1 5

Record 5
Starting from a crystal structure in Alexandria, relaxed with PBE, the X-ray powder pattern of HoMn5Al7 was computed for Cu Kα.
Peak positions follow from Bragg's law for the DFT cell and can differ from measured ones.

Structural model:
abc: 4.9601 8.7477 8.6869
angles: 90.00 90.00 90.00
Space group Imm2 (No. 44)
Inequivalent atoms, fractional coordinates:
Ho 0.0000 0.0000 0.0000 (multiplicity 2)
Mn 0.0000 0.5000 0.7290 (multiplicity 2)
Mn 0.2395 0.2504 0.2429 (multiplicity 8)
Al 0.0000 0.0000 0.3348 (multiplicity 2)
Al 0.0000 0.0000 0.6568 (multiplicity 2)
Al 0.0000 0.2903 0.5004 (multiplicity 4)
Al 0.0000 0.3418 0.9856 (multiplicity 4)
Al 0.0000 0.5000 0.2699 (multiplicity 2)

Principal peaks in the range 2θ from 10° to 80°, in order of falling intensity:
d/Å, I_rel, h k l
2.173, 100, 0 0 4
2.156, 71, 2 2 0
3.064, 59, 1 1 2
6.164, 48, 0 1 1
4.310, 29, 1 0 1
2.187, 28, 0 4 0

Record 6
Starting from a crystal structure in Alexandria, relaxed with PBE, the X-ray powder pattern of DySc3Rh was computed for Cu Kα.
Peak positions follow from Bragg's law for the DFT cell and can differ from measured ones.

Structural model:
abc: 8.3133 9.0411 6.5372
angles: 90.00 90.00 90.00
Space group Imma (No. 74)
Inequivalent atoms, fractional coordinates:
Dy 0.0000 0.2500 0.2409 (multiplicity 4)
Sc 0.0000 0.2500 0.7646 (multiplicity 4)
Sc 0.1981 0.0000 0.5000 (multiplicity 8)
Rh 0.0000 0.0000 0.0000 (multiplicity 4)

Principal peaks in the range 2θ from 10° to 80°, in order of falling intensity:
d/Å, I_rel, h k l
2.649, 100, 0 2 2
4.157, 57, 2 0 0
5.298, 44, 0 1 1
2.234, 44, 2 2 2
1.635, 42, 0 0 4
2.260, 32, 0 4 0